[1]
# Nb3WS8
Simulated powder diffraction line list, Cu Kα (weighted mean of Kα1 and Kα2). Input: a cell relaxed with PBE.
Neutral-atom scattering factors, no anomalous dispersion.

Most intense lines, 10 to 90 degrees two-theta, by angle:
13.90 deg, I = 100
31.49 deg, I = 31
32.55 deg, I = 30
36.50 deg, I = 36
39.23 deg, I = 38
45.85 deg, I = 24
49.63 deg, I = 15
55.39 deg, I = 19
57.41 deg, I = 15
57.93 deg, I = 11
72.26 deg, I = 9
84.31 deg, I = 13

Lattice parameters (Å, degrees): 25.552 25.552 25.552 7.44 7.44 7.44
Atoms (fractional coordinates):
Nb  0.000  0.000  0.000
Nb  0.250  0.250  0.250
Nb  0.500  0.500  0.500
W  0.750  0.750  0.750
S  0.063  0.063  0.063
S  0.103  0.103  0.103
S  0.313  0.313  0.313
S  0.354  0.354  0.354
S  0.563  0.563  0.563
S  0.604  0.604  0.604
S  0.813  0.813  0.813
S  0.854  0.854  0.854



[2]
# SmSi3Ir
Simulated powder diffraction line list, Cu Kα (weighted mean of Kα1 and Kα2). Input: a cell relaxed with PBE.
Neutral-atom scattering factors, no anomalous dispersion.

Most intense lines, 10 to 90 degrees two-theta, by angle:
18.02 deg, I = 21
22.86 deg, I = 52
29.83 deg, I = 63
34.58 deg, I = 100
35.07 deg, I = 42
42.70 deg, I = 45
51.16 deg, I = 18
56.06 deg, I = 55
61.97 deg, I = 15
64.79 deg, I = 17
72.94 deg, I = 19
88.38 deg, I = 20

Lattice parameters (Å, degrees): 5.762 5.762 5.762 136.87 136.87 62.63
Atoms (fractional coordinates):
Sm  0.000  0.000  0.000
Si  0.266  0.766  0.500
Si  0.416  0.416  0.000
Si  0.766  0.266  0.500
Ir  0.656  0.656  0.000



[3]
# LiTa3N4
Simulated powder diffraction line list, Cu Kα (weighted mean of Kα1 and Kα2). Input: a cell relaxed with PBE.
Neutral-atom scattering factors, no anomalous dispersion.

Most intense lines, 10 to 90 degrees two-theta, by angle:
17.04 deg, I = 28
19.62 deg, I = 18
26.10 deg, I = 25
34.48 deg, I = 42
35.43 deg, I = 75
38.57 deg, I = 100
43.37 deg, I = 66
56.55 deg, I = 29
61.49 deg, I = 33
64.50 deg, I = 23
72.44 deg, I = 21
74.98 deg, I = 14

Lattice parameters (Å, degrees): 5.224 10.405 9.046 90.00 90.00 90.00
Atoms (fractional coordinates):
Li  0.000  0.000  0.000
Li  0.000  0.000  0.316
Li  0.000  0.500  0.982
Li  0.500  0.000  0.482
Li  0.500  0.500  0.500
Li  0.500  0.500  0.816
Ta  0.000  0.000  0.639
Ta  0.000  0.500  0.326
Ta  0.000  0.500  0.670
Ta  0.159  0.247  0.154
Ta  0.166  0.251  0.825
Ta  0.170  0.248  0.487
Ta  0.330  0.748  0.987
Ta  0.334  0.751  0.325
Ta  0.341  0.747  0.654
Ta  0.500  0.000  0.170
Ta  0.500  0.000  0.826
Ta  0.500  0.500  0.139
Ta  0.659  0.253  0.654
Ta  0.666  0.249  0.325
Ta  0.670  0.252  0.987
Ta  0.830  0.752  0.487
Ta  0.834  0.749  0.825
Ta  0.841  0.753  0.154
N  0.165  0.620  0.491
N  0.166  0.621  0.820
N  0.166  0.879  0.490
N  0.167  0.880  0.820
N  0.168  0.619  0.155
N  0.177  0.877  0.156
N  0.323  0.377  0.656
N  0.332  0.119  0.655
N  0.333  0.380  0.320
N  0.334  0.121  0.320
N  0.334  0.379  0.990
N  0.335  0.120  0.991
N  0.665  0.880  0.991
N  0.666  0.621  0.990
N  0.666  0.879  0.320
N  0.667  0.620  0.320
N  0.668  0.881  0.655
N  0.677  0.623  0.656
N  0.823  0.123  0.156
N  0.832  0.381  0.155
N  0.833  0.120  0.820
N  0.834  0.121  0.490
N  0.834  0.379  0.820
N  0.835  0.380  0.491



[4]
# Te3MoWS
Simulated powder diffraction line list, Cu Kα (weighted mean of Kα1 and Kα2). Input: a cell relaxed with PBE.
Neutral-atom scattering factors, no anomalous dispersion.

Most intense lines, 10 to 90 degrees two-theta, by angle:
11.23 deg, I = 96
13.49 deg, I = 16
29.92 deg, I = 54
32.03 deg, I = 13
35.12 deg, I = 100
36.42 deg, I = 22
42.48 deg, I = 57
44.21 deg, I = 18
53.08 deg, I = 39
65.24 deg, I = 16
74.75 deg, I = 18
88.87 deg, I = 15

Lattice parameters (Å, degrees): 3.451 3.451 39.394 90.00 90.00 120.00
Atoms (fractional coordinates):
Te  0.000  0.000  0.000
Te  0.000  0.000  0.094
Te  0.000  0.000  0.376
Te  0.000  0.000  0.470
Te  0.667  0.333  0.188
Te  0.667  0.333  0.282
Mo  0.000  0.000  0.235
Mo  0.667  0.333  0.047
W  0.000  0.000  0.611
W  0.667  0.333  0.423
S  0.667  0.333  0.573
S  0.667  0.333  0.649



[5]
# MgCu2
Simulated powder diffraction line list, Cu Kα (weighted mean of Kα1 and Kα2). Input: a cell relaxed with PBE.
Neutral-atom scattering factors, no anomalous dispersion.

Most intense lines, 10 to 90 degrees two-theta, by angle:
21.93 deg, I = 66
36.20 deg, I = 7
42.73 deg, I = 100
44.73 deg, I = 73
52.12 deg, I = 22
57.21 deg, I = 13
65.10 deg, I = 2
69.60 deg, I = 28
76.82 deg, I = 27
81.05 deg, I = 9
88.00 deg, I = 1

Lattice parameters (Å, degrees): 4.963 4.963 4.963 60.00 60.00 60.00
Atoms (fractional coordinates):
Mg  0.125  0.125  0.125
Mg  0.875  0.875  0.875
Cu  0.000  0.500  0.500
Cu  0.500  0.000  0.500
Cu  0.500  0.500  0.000
Cu  0.500  0.500  0.500



[6]
# K3LaCl6
Simulated powder diffraction line list, Cu Kα (weighted mean of Kα1 and Kα2). Input: a cell relaxed with PBE.
Neutral-atom scattering factors, no anomalous dispersion.

Most intense lines, 10 to 90 degrees two-theta, by angle:
13.32 deg, I = 51
15.39 deg, I = 72
21.84 deg, I = 76
25.66 deg, I = 23
31.07 deg, I = 100
34.85 deg, I = 36
38.30 deg, I = 34
44.52 deg, I = 66
55.28 deg, I = 22
60.15 deg, I = 18
73.59 deg, I = 26
82.01 deg, I = 19

Lattice parameters (Å, degrees): 8.140 8.140 8.140 60.00 60.00 60.00
Atoms (fractional coordinates):
K  0.000  0.000  0.000
K  0.250  0.250  0.250
K  0.750  0.750  0.750
La  0.500  0.500  0.500
Cl  0.260  0.260  0.740
Cl  0.260  0.740  0.260
Cl  0.260  0.740  0.740
Cl  0.740  0.260  0.260
Cl  0.740  0.260  0.740
Cl  0.740  0.740  0.260



[7]
# NdP2H3O6
Simulated powder diffraction line list, Cu Kα (weighted mean of Kα1 and Kα2). Input: a cell relaxed with PBE.
Neutral-atom scattering factors, no anomalous dispersion.

Most intense lines, 10 to 90 degrees two-theta, by angle:
14.37 deg, I = 100
21.74 deg, I = 10
23.15 deg, I = 31
23.74 deg, I = 11
24.38 deg, I = 25
26.81 deg, I = 10
28.97 deg, I = 11
30.05 deg, I = 14
30.60 deg, I = 12
31.02 deg, I = 21
34.26 deg, I = 14
42.95 deg, I = 20

Lattice parameters (Å, degrees): 8.440 9.384 8.975 90.00 114.35 90.00
Atoms (fractional coordinates):
Nd  0.248  0.033  0.001
Nd  0.248  0.467  0.501
Nd  0.752  0.533  0.499
Nd  0.752  0.967  0.999
P  0.053  0.112  0.307
P  0.053  0.388  0.807
P  0.456  0.725  0.099
P  0.456  0.775  0.599
P  0.544  0.225  0.401
P  0.544  0.275  0.901
P  0.947  0.612  0.193
P  0.947  0.888  0.693
H  0.149  0.017  0.434
H  0.149  0.483  0.934
H  0.214  0.693  0.153
H  0.214  0.807  0.653
H  0.419  0.639  0.960
H  0.419  0.861  0.460
H  0.581  0.139  0.540
H  0.581  0.361  0.040
H  0.786  0.193  0.347
H  0.786  0.307  0.847
H  0.851  0.517  0.066
H  0.851  0.983  0.566
O  0.063  0.058  0.149
O  0.063  0.442  0.649
O  0.124  0.240  0.863
O  0.124  0.260  0.363
O  0.143  0.596  0.226
O  0.143  0.904  0.726
O  0.274  0.733  0.600
O  0.274  0.767  0.100
O  0.430  0.141  0.252
O  0.430  0.359  0.752
O  0.482  0.130  0.934
O  0.482  0.370  0.434
O  0.518  0.630  0.566
O  0.518  0.870  0.066
O  0.570  0.641  0.248
O  0.570  0.859  0.748
O  0.726  0.233  0.900
O  0.726  0.267  0.400
O  0.857  0.096  0.274
O  0.857  0.404  0.774
O  0.876  0.740  0.637
O  0.876  0.760  0.137
O  0.937  0.558  0.351
O  0.937  0.942  0.851



[8]
# RbCu2Se2O10
Simulated powder diffraction line list, Cu Kα (weighted mean of Kα1 and Kα2). Input: a cell relaxed with PBE.
Neutral-atom scattering factors, no anomalous dispersion.

Most intense lines, 10 to 90 degrees two-theta, by angle:
17.62 deg, I = 29
17.97 deg, I = 56
18.12 deg, I = 26
22.08 deg, I = 63
24.58 deg, I = 100
28.57 deg, I = 72
30.34 deg, I = 31
30.89 deg, I = 50
31.15 deg, I = 60
33.15 deg, I = 37
35.67 deg, I = 30
49.29 deg, I = 37

Lattice parameters (Å, degrees): 5.814 5.814 8.903 114.86 114.86 64.98
Atoms (fractional coordinates):
Rb  0.000  0.000  0.000
Cu  0.000  0.500  0.500
Cu  0.500  0.000  0.500
Se  0.437  0.437  0.235
Se  0.563  0.563  0.765
O  0.185  0.185  0.544
O  0.220  0.673  0.706
O  0.327  0.780  0.294
O  0.328  0.328  0.329
O  0.334  0.334  0.022
O  0.666  0.666  0.978
O  0.672  0.672  0.671
O  0.673  0.220  0.706
O  0.780  0.327  0.294
O  0.815  0.815  0.456



[9]
# SbSO2F5
Simulated powder diffraction line list, Cu Kα (weighted mean of Kα1 and Kα2). Input: a cell relaxed with PBE.
Neutral-atom scattering factors, no anomalous dispersion.

Most intense lines, 10 to 90 degrees two-theta, by angle:
15.85 deg, I = 44
16.50 deg, I = 31
17.34 deg, I = 28
17.54 deg, I = 56
18.70 deg, I = 38
19.17 deg, I = 92
22.25 deg, I = 25
22.96 deg, I = 100
24.17 deg, I = 86
25.40 deg, I = 24
27.57 deg, I = 20
39.40 deg, I = 25

Lattice parameters (Å, degrees): 5.956 10.743 10.778 90.00 110.21 90.00
Atoms (fractional coordinates):
Sb  0.078  0.041  0.270
Sb  0.078  0.459  0.770
Sb  0.922  0.541  0.230
Sb  0.922  0.959  0.730
S  0.477  0.748  0.065
S  0.477  0.752  0.565
S  0.523  0.248  0.435
S  0.523  0.252  0.935
O  0.389  0.163  0.324
O  0.389  0.337  0.824
O  0.431  0.238  0.040
O  0.431  0.262  0.540
O  0.569  0.738  0.460
O  0.569  0.762  0.960
O  0.611  0.663  0.176
O  0.611  0.837  0.676
F  0.025  0.631  0.393
F  0.025  0.869  0.893
F  0.069  0.664  0.156
F  0.069  0.836  0.656
F  0.191  0.067  0.782
F  0.191  0.433  0.282
F  0.220  0.533  0.940
F  0.220  0.967  0.440
F  0.271  0.563  0.705
F  0.271  0.937  0.205
F  0.729  0.063  0.795
F  0.729  0.437  0.295
F  0.780  0.033  0.560
F  0.780  0.467  0.060
F  0.809  0.567  0.718
F  0.809  0.933  0.218
F  0.931  0.164  0.344
F  0.931  0.336  0.844
F  0.975  0.131  0.107
F  0.975  0.369  0.607



[10]
# Zr2Au
Simulated powder diffraction line list, Cu Kα (weighted mean of Kα1 and Kα2). Input: a cell relaxed with PBE.
Neutral-atom scattering factors, no anomalous dispersion.

Most intense lines, 10 to 90 degrees two-theta, by angle:
15.07 deg, I = 17
28.01 deg, I = 12
35.50 deg, I = 100
38.47 deg, I = 40
41.54 deg, I = 6
46.34 deg, I = 12
47.43 deg, I = 6
55.54 deg, I = 14
61.75 deg, I = 19
67.67 deg, I = 30
75.15 deg, I = 11
78.76 deg, I = 9

Lattice parameters (Å, degrees): 6.327 6.327 6.327 149.68 149.68 43.41
Atoms (fractional coordinates):
Zr  0.161  0.161  0.000
Zr  0.839  0.839  0.000
Au  0.500  0.500  0.000